Record 1
Structure and computed XRD peak list of La3Dy13 (a GGA-PBE-relaxed structure; Cu Kα (λ = 1.5418 Å)).
Neutral-atom scattering factors, no anomalous dispersion.

Cell and atoms:
abc: 7.301 8.517 8.517
angles: 84.40 90.00 90.00
Atoms (fractional coordinates):
La: 0.000 0.000 0.000
La: 0.253 0.747 0.747
La: 0.747 0.747 0.747
Dy: 0.000 0.414 0.918
Dy: 0.000 0.496 0.496
Dy: 0.000 0.918 0.414
Dy: 0.250 0.251 0.251
Dy: 0.251 0.170 0.662
Dy: 0.251 0.662 0.170
Dy: 0.500 0.001 0.001
Dy: 0.500 0.410 0.921
Dy: 0.500 0.496 0.496
Dy: 0.500 0.921 0.410
Dy: 0.749 0.170 0.662
Dy: 0.749 0.662 0.170
Dy: 0.750 0.251 0.251

Peak list (10 most intense, 2θ = 15–90°, sorted by position)
| 2theta | I (rel.) |
| --- | --- |
| 28.26 | 24 |
| 31.27 | 24 |
| 32.38 | 100 |
| 42.65 | 16 |
| 50.02 | 20 |
| 56.36 | 21 |
| 60.18 | 23 |
| 60.83 | 11 |
| 82.61 | 9 |
| 86.48 | 8 |

Record 2
Structure and computed XRD peak list of PrMgCuN2 (a GGA-PBE-relaxed structure; Cu Kα (λ = 1.5418 Å)).
Neutral-atom scattering factors, no anomalous dispersion.

Cell and atoms:
abc: 5.761 4.135 6.190
angles: 90.00 101.75 90.00
Atoms (fractional coordinates):
Pr: 0.000 0.242 0.250
Pr: 0.000 0.758 0.750
Mg: 0.500 0.478 0.750
Mg: 0.500 0.522 0.250
Cu: 0.500 0.000 0.000
Cu: 0.500 0.000 0.500
N: 0.250 0.305 0.958
N: 0.250 0.695 0.458
N: 0.750 0.305 0.542
N: 0.750 0.695 0.042

Peak list (10 most intense, 2θ = 15–90°, sorted by position)
| 2theta | I (rel.) |
| --- | --- |
| 26.09 | 100 |
| 28.97 | 63 |
| 30.51 | 78 |
| 31.73 | 77 |
| 32.16 | 99 |
| 36.40 | 36 |
| 39.00 | 57 |
| 43.92 | 30 |
| 46.80 | 66 |
| 67.30 | 38 |

Record 3
Structure and computed XRD peak list of Nd3TlRu (a GGA-PBE-relaxed structure; Cu Kα (λ = 1.5418 Å)).
Neutral-atom scattering factors, no anomalous dispersion.

Cell and atoms:
abc: 9.667 8.912 6.088
angles: 77.74 64.28 37.98
Atoms (fractional coordinates):
Nd: 0.195 0.581 0.419
Nd: 0.200 0.200 0.800
Nd: 0.419 0.805 0.195
Nd: 0.581 0.195 0.805
Nd: 0.800 0.800 0.200
Nd: 0.805 0.419 0.581
Tl: 0.213 0.787 0.787
Tl: 0.787 0.213 0.213
Ru: 0.250 0.250 0.250
Ru: 0.750 0.750 0.750

Peak list (10 most intense, 2θ = 15–90°, sorted by position)
| 2theta | I (rel.) |
| --- | --- |
| 27.94 | 51 |
| 30.10 | 58 |
| 31.44 | 52 |
| 33.61 | 100 |
| 33.89 | 21 |
| 34.23 | 66 |
| 35.53 | 27 |
| 37.26 | 41 |
| 51.41 | 23 |
| 54.97 | 27 |

Record 4
Structure and computed XRD peak list of HfNbN3 (a GGA-PBE-relaxed structure; Cu Kα (λ = 1.5418 Å)).
Neutral-atom scattering factors, no anomalous dispersion.

Cell and atoms:
abc: 6.293 6.293 6.779
angles: 106.24 106.24 29.49
Atoms (fractional coordinates):
Hf: 0.148 0.148 0.325
Hf: 0.852 0.852 0.675
Nb: 0.363 0.363 0.176
Nb: 0.637 0.637 0.824
N: 0.038 0.038 0.803
N: 0.290 0.290 0.860
N: 0.341 0.341 0.470
N: 0.659 0.659 0.530
N: 0.710 0.710 0.140
N: 0.962 0.962 0.197

Peak list (10 most intense, 2θ = 15–90°, sorted by position)
| 2theta | I (rel.) |
| --- | --- |
| 27.32 | 45 |
| 27.49 | 35 |
| 30.69 | 55 |
| 33.06 | 100 |
| 34.94 | 30 |
| 35.34 | 37 |
| 36.44 | 58 |
| 46.96 | 33 |
| 50.72 | 38 |
| 53.73 | 30 |

Record 5
Structure and computed XRD peak list of Bi13Rh2 (a GGA-PBE-relaxed structure; Cu Kα (λ = 1.5418 Å)).
Neutral-atom scattering factors, no anomalous dispersion.

Cell and atoms:
abc: 5.827 9.501 9.816
angles: 62.04 84.74 82.47
Atoms (fractional coordinates):
Bi: 0.000 0.000 0.000
Bi: 0.107 0.667 0.911
Bi: 0.211 0.371 0.726
Bi: 0.255 0.722 0.424
Bi: 0.257 0.099 0.618
Bi: 0.396 0.365 0.272
Bi: 0.420 0.150 0.084
Bi: 0.580 0.850 0.916
Bi: 0.604 0.635 0.728
Bi: 0.743 0.901 0.382
Bi: 0.745 0.278 0.576
Bi: 0.789 0.629 0.274
Bi: 0.893 0.333 0.089
Rh: 0.285 0.683 0.158
Rh: 0.715 0.317 0.842

Peak list (10 most intense, 2θ = 15–90°, sorted by position)
| 2theta | I (rel.) |
| --- | --- |
| 27.22 | 75 |
| 28.30 | 100 |
| 30.71 | 63 |
| 31.02 | 77 |
| 32.35 | 67 |
| 35.33 | 67 |
| 37.24 | 38 |
| 37.77 | 26 |
| 43.37 | 26 |
| 51.34 | 23 |

Record 6
Structure and computed XRD peak list of Fe5Rh3 (a GGA-PBE-relaxed structure; Cu Kα (λ = 1.5418 Å)).
Neutral-atom scattering factors, no anomalous dispersion.

Cell and atoms:
abc: 5.177 5.177 4.209
angles: 90.00 90.00 109.77
Atoms (fractional coordinates):
Fe: 0.000 0.000 0.000
Fe: 0.000 0.500 0.000
Fe: 0.241 0.241 0.500
Fe: 0.500 0.000 0.000
Fe: 0.759 0.759 0.500
Rh: 0.251 0.749 0.500
Rh: 0.500 0.500 0.000
Rh: 0.749 0.251 0.500

Peak list (10 most intense, 2θ = 15–90°, sorted by position)
| 2theta | I (rel.) |
| --- | --- |
| 18.21 | 2 |
| 28.01 | 2 |
| 29.96 | 8 |
| 42.71 | 20 |
| 42.91 | 100 |
| 62.19 | 13 |
| 62.37 | 6 |
| 78.33 | 12 |
| 78.54 | 6 |
| 78.71 | 18 |

Record 7
Structure and computed XRD peak list of Hf7Sc (a GGA-PBE-relaxed structure; Cu Kα (λ = 1.5418 Å)).
Neutral-atom scattering factors, no anomalous dispersion.

Cell and atoms:
abc: 7.846 7.846 7.846
angles: 156.99 102.74 81.90
Atoms (fractional coordinates):
Hf: 0.000 0.000 0.000
Hf: 0.099 0.369 0.730
Hf: 0.253 0.253 0.000
Hf: 0.361 0.631 0.730
Hf: 0.639 0.369 0.270
Hf: 0.747 0.747 0.000
Hf: 0.901 0.631 0.270
Sc: 0.500 0.000 0.500

Peak list (10 most intense, 2θ = 15–90°, sorted by position)
| 2theta | I (rel.) |
| --- | --- |
| 29.97 | 16 |
| 34.85 | 62 |
| 35.41 | 100 |
| 36.66 | 78 |
| 39.89 | 27 |
| 43.04 | 24 |
| 52.82 | 22 |
| 64.30 | 18 |
| 65.51 | 16 |
| 70.74 | 27 |

Record 8
Structure and computed XRD peak list of In6Sn5 (a GGA-PBE-relaxed structure; Cu Kα (λ = 1.5418 Å)).
Neutral-atom scattering factors, no anomalous dispersion.

Cell and atoms:
abc: 6.689 6.689 9.064
angles: 93.79 93.79 129.02
Atoms (fractional coordinates):
In: 0.010 0.010 0.194
In: 0.334 0.628 0.307
In: 0.372 0.666 0.693
In: 0.628 0.334 0.307
In: 0.666 0.372 0.693
In: 0.990 0.990 0.806
Sn: 0.129 0.871 0.500
Sn: 0.217 0.783 0.000
Sn: 0.500 0.500 0.000
Sn: 0.783 0.217 0.000
Sn: 0.871 0.129 0.500

Peak list (10 most intense, 2θ = 15–90°, sorted by position)
| 2theta | I (rel.) |
| --- | --- |
| 31.27 | 68 |
| 31.45 | 100 |
| 32.33 | 92 |
| 32.51 | 55 |
| 35.28 | 87 |
| 36.85 | 34 |
| 43.77 | 36 |
| 60.05 | 25 |
| 60.41 | 21 |
| 63.13 | 23 |

Record 9
Structure and computed XRD peak list of TbPr3Dy6Tm2 (a GGA-PBE-relaxed structure; Cu Kα (λ = 1.5418 Å)).
Neutral-atom scattering factors, no anomalous dispersion.

Cell and atoms:
abc: 6.201 6.201 11.839
angles: 95.00 95.00 119.99
Atoms (fractional coordinates):
Tb: 0.000 0.000 0.000
Pr: 0.167 0.833 0.500
Pr: 0.500 0.500 0.500
Pr: 0.833 0.167 0.500
Dy: 0.082 0.416 0.245
Dy: 0.252 0.252 0.755
Dy: 0.416 0.082 0.245
Dy: 0.584 0.918 0.755
Dy: 0.748 0.748 0.245
Dy: 0.918 0.584 0.755
Tm: 0.333 0.667 0.000
Tm: 0.667 0.333 0.000

Peak list (10 most intense, 2θ = 15–90°, sorted by position)
| 2theta | I (rel.) |
| --- | --- |
| 30.59 | 100 |
| 30.68 | 33 |
| 35.49 | 67 |
| 51.02 | 24 |
| 51.13 | 24 |
| 60.70 | 43 |
| 60.81 | 14 |
| 63.69 | 12 |
| 83.17 | 12 |
| 85.85 | 11 |

Record 10
Structure and computed XRD peak list of Pr2Ga3Au6 (a GGA-PBE-relaxed structure; Cu Kα (λ = 1.5418 Å)).
Neutral-atom scattering factors, no anomalous dispersion.

Cell and atoms:
abc: 7.794 7.794 4.481
angles: 90.00 90.00 120.00
Atoms (fractional coordinates):
Pr: 0.333 0.667 0.000
Pr: 0.667 0.333 0.000
Ga: 0.000 0.632 0.500
Ga: 0.368 0.368 0.500
Ga: 0.632 0.000 0.500
Au: 0.000 0.309 0.500
Au: 0.000 0.791 0.000
Au: 0.209 0.209 0.000
Au: 0.309 0.000 0.500
Au: 0.691 0.691 0.500
Au: 0.791 0.000 0.000

Peak list (10 most intense, 2θ = 15–90°, sorted by position)
| 2theta | I (rel.) |
| --- | --- |
| 30.40 | 100 |
| 35.18 | 23 |
| 40.07 | 29 |
| 40.26 | 31 |
| 40.70 | 66 |
| 45.09 | 14 |
| 54.51 | 13 |
| 58.11 | 20 |
| 66.86 | 29 |
| 73.47 | 12 |

Record 11
Structure and computed XRD peak list of Pu2ZrF11 (a GGA-PBE-relaxed structure; Cu Kα (λ = 1.5418 Å)).
Neutral-atom scattering factors, no anomalous dispersion.

Cell and atoms:
abc: 8.531 8.531 8.531
angles: 121.61 105.31 102.22
Atoms (fractional coordinates):
Pu: 0.183 0.150 0.333
Pu: 0.317 0.650 0.968
Pu: 0.683 0.350 0.032
Pu: 0.817 0.850 0.667
Zr: 0.250 0.750 0.500
Zr: 0.750 0.250 0.500
F: 0.000 0.000 0.000
F: 0.018 0.440 0.749
F: 0.076 0.845 0.637
F: 0.191 0.940 0.423
F: 0.207 0.439 0.363
F: 0.213 0.873 0.086
F: 0.287 0.373 0.661
F: 0.293 0.655 0.231
F: 0.309 0.732 0.749
F: 0.424 0.061 0.769
F: 0.482 0.232 0.423
F: 0.500 0.500 0.000
F: 0.518 0.768 0.577
F: 0.576 0.939 0.231
F: 0.691 0.268 0.251
F: 0.707 0.345 0.769
F: 0.713 0.627 0.339
F: 0.787 0.127 0.914
F: 0.793 0.561 0.637
F: 0.809 0.060 0.577
F: 0.924 0.155 0.363
F: 0.982 0.560 0.251

Peak list (10 most intense, 2θ = 15–90°, sorted by position)
| 2theta | I (rel.) |
| --- | --- |
| 16.55 | 63 |
| 21.52 | 57 |
| 21.86 | 69 |
| 23.91 | 62 |
| 24.51 | 100 |
| 33.46 | 23 |
| 34.21 | 30 |
| 44.18 | 23 |
| 44.60 | 28 |
| 45.23 | 42 |

Record 12
Structure and computed XRD peak list of Tl2SiPbO4 (a GGA-PBE-relaxed structure; Cu Kα (λ = 1.5418 Å)).
Neutral-atom scattering factors, no anomalous dispersion.

Cell and atoms:
abc: 7.727 8.147 5.303
angles: 90.00 90.00 90.00
Atoms (fractional coordinates):
Tl: 0.223 0.192 0.000
Tl: 0.277 0.808 0.500
Tl: 0.723 0.808 0.500
Tl: 0.777 0.192 0.000
Si: 0.000 0.406 0.484
Si: 0.500 0.594 0.984
Pb: 0.000 0.666 0.006
Pb: 0.500 0.334 0.506
O: 0.000 0.406 0.165
O: 0.000 0.605 0.570
O: 0.178 0.317 0.582
O: 0.322 0.683 0.082
O: 0.500 0.395 0.070
O: 0.500 0.594 0.665
O: 0.678 0.683 0.082
O: 0.822 0.317 0.582

Peak list (10 most intense, 2θ = 15–90°, sorted by position)
| 2theta | I (rel.) |
| --- | --- |
| 20.31 | 25 |
| 21.82 | 35 |
| 25.52 | 24 |
| 27.61 | 55 |
| 30.66 | 100 |
| 33.81 | 32 |
| 40.60 | 40 |
| 47.84 | 20 |
| 53.83 | 23 |
| 58.53 | 19 |

Question: What is the formula in the eighth record?
Answer: In6Sn5